1.
Diffraction record for Pr2PI4. The PXRD pattern is calculated, not measured: it uses DFT lattice parameters and positions (PBE) and CuKα.
No peak broadening, texture or thermal motion is included.

a = 7.8209 Å, b = 7.8209 Å, c = 7.6877 Å
α = 90.00°, β = 90.00°, γ = 90.00°
Sites, in units of the cell vectors:
Pr1 0.0000 0.5000 0.2500
Pr2 0.0000 0.5000 0.7500
Pr3 0.5000 0.0000 0.2500
Pr4 0.5000 0.0000 0.7500
P1 0.0000 0.0000 0.0000
P2 0.5000 0.5000 0.5000
I1 0.2336 0.2336 0.5000
I2 0.2336 0.7664 0.5000
I3 0.2664 0.2664 0.0000
I4 0.2664 0.7336 0.0000
I5 0.7336 0.2664 0.0000
I6 0.7336 0.7336 0.0000
I7 0.7664 0.2336 0.5000
I8 0.7664 0.7664 0.5000

The 12 most intense peaks (10° ≤ 2θ ≤ 80°), in order of rising 2θ:
| hkl | d [Å] | 2θ (°) | I (rel.) |
| --- | --- | --- | --- |
| 1 1 0 | 5.530 | 16.0 | 31 |
| 1 1 2 | 3.156 | 28.3 | 27 |
| 2 2 0 | 2.765 | 32.4 | 59 |
| 2 0 2 | 2.741 | 32.7 | 100 |
| 3 1 0 | 2.472 | 36.3 | 14 |
| 3 1 2 | 2.080 | 43.5 | 15 |
| 4 0 0 | 1.955 | 46.4 | 20 |
| 0 0 4 | 1.922 | 47.3 | 11 |
| 4 2 2 | 1.592 | 57.9 | 34 |
| 2 2 4 | 1.578 | 58.5 | 21 |
| 4 0 4 | 1.371 | 68.5 | 12 |
| 2 0 6 | 1.218 | 78.6 | 8 |

2.
Diffraction record for Pa2I13. The PXRD pattern is calculated, not measured: it uses DFT lattice parameters and positions (PBE) and CuKα.
No peak broadening, texture or thermal motion is included.

a = 8.7006 Å, b = 10.9800 Å, c = 11.0940 Å
α = 64.45°, β = 87.64°, γ = 78.35°
Sites, in units of the cell vectors:
Pa1 0.2264 0.2256 0.1716
Pa2 0.7736 0.7744 0.8284
I1 0.0000 0.5000 0.0000
I2 0.0017 0.9306 0.8353
I3 0.0962 0.2454 0.4091
I4 0.3506 0.2282 0.9234
I5 0.4531 0.3946 0.1744
I6 0.4653 0.9777 0.3298
I7 0.4797 0.6390 0.4638
I8 0.5203 0.3610 0.5362
I9 0.5347 0.0223 0.6702
I10 0.5469 0.6054 0.8256
I11 0.6494 0.7718 0.0766
I12 0.9038 0.7546 0.5909
I13 0.9983 0.0694 0.1647

The 12 most intense peaks (10° ≤ 2θ ≤ 80°), in order of rising 2θ:
| hkl | d [Å] | 2θ (°) | I (rel.) |
| --- | --- | --- | --- |
| 1 1 0 | 7.163 | 12.4 | 41 |
| 1 1 1 | 6.773 | 13.1 | 38 |
| 1 0 -1 | 6.652 | 13.3 | 53 |
| 1 -1 0 | 5.829 | 15.2 | 100 |
| 0 1 2 | 5.519 | 16.1 | 31 |
| 2 2 1 | 3.712 | 24.0 | 29 |
| -1 1 3 | 3.351 | 26.6 | 73 |
| 1 -2 1 | 3.239 | 27.5 | 31 |
| 2 3 2 | 2.980 | 30.0 | 21 |
| 1 -3 0 | 2.835 | 31.6 | 26 |
| 3 3 1 | 2.482 | 36.2 | 26 |
| 4 1 2 | 2.025 | 44.7 | 25 |

Which formula does entry 1 have?
Pr2PI4